Entry 1:
Starting from DFT lattice parameters and positions (GGA+U), the X-ray diffraction stick pattern of LiFePCO7 was computed for Cu Kα X-rays.
Kinematic intensities with the Lorentz-polarization factor, no thermal factor.

```
data_LiFePCO7
_symmetry_space_group_name_H-M 'P 1'
_symmetry_Int_Tables_number 1
_cell_length_a 8.2637
_cell_length_b 8.2851
_cell_length_c 8.4329
_cell_angle_alpha 93.50
_cell_angle_beta 93.23
_cell_angle_gamma 102.35
loop_
_symmetry_equiv_pos_as_xyz
'x,y,z'
loop_
_atom_site_label
_atom_site_fract_x
_atom_site_fract_y
_atom_site_fract_z
Li1 0.0000 0.0000 0.0000
Li2 0.0236 0.5241 0.7856
Li3 0.3679 0.1683 0.1752
Li4 0.5312 0.0226 0.7796
Fe1 0.2368 0.7313 0.2270
Fe2 0.2859 0.2890 0.5597
Fe3 0.7420 0.2379 0.2302
Fe4 0.7873 0.7847 0.5534
P1 0.0010 0.5047 0.4717
P2 0.0256 0.0208 0.3142
P3 0.4997 0.0014 0.4687
P4 0.5173 0.5167 0.3161
C1 0.2429 0.2294 0.8466
C2 0.2909 0.7895 0.9391
C3 0.7404 0.7431 0.8476
C4 0.7824 0.2902 0.9400
O1 0.0713 0.5777 0.3206
O2 0.0837 0.8953 0.1974
O3 0.1279 0.4411 0.5803
O4 0.1502 0.1542 0.7212
O5 0.1712 0.6675 0.9667
O6 0.1819 0.1645 0.3616
O7 0.2185 0.1829 0.9847
O8 0.3329 0.8319 0.8044
O9 0.3498 0.8578 0.4149
O10 0.3573 0.3503 0.8079
O11 0.3702 0.8748 0.0673
O12 0.3880 0.5796 0.2123
O13 0.4432 0.1288 0.5836
O14 0.4454 0.4504 0.4718
O15 0.5608 0.3724 0.2120
O16 0.5635 0.0784 0.3144
O17 0.6320 0.9406 0.5720
O18 0.6523 0.6547 0.7293
O19 0.6649 0.1660 0.9694
O20 0.6709 0.6564 0.3670
O21 0.7110 0.7115 0.9896
O22 0.8235 0.3297 0.8043
O23 0.8526 0.3588 0.4171
O24 0.8592 0.8642 0.8144
O25 0.8643 0.3743 0.0668
O26 0.8979 0.0861 0.2063
O27 0.9429 0.6316 0.5856
O28 0.9531 0.9488 0.4634
```

The 6 most intense peaks (10 to 90 degrees two-theta), sorted by position:
- d 8.396, 2θ 10.54, I = 97
- d 5.113, 2θ 17.34, I = 43
- d 4.595, 2θ 19.32, I = 55
- d 4.226, 2θ 21.02, I = 79
- d 3.418, 2θ 26.07, I = 39
- d 3.223, 2θ 27.68, I = 100

=====

Entry 2:
Starting from DFT lattice parameters and positions (GGA+U), the X-ray diffraction stick pattern of LiFePCO7 was computed for Cu Kα X-rays.
Kinematic intensities with the Lorentz-polarization factor, no thermal factor.

```
data_LiFePCO7
_symmetry_space_group_name_H-M 'P 1'
_symmetry_Int_Tables_number 1
_cell_length_a 8.2413
_cell_length_b 8.2828
_cell_length_c 8.4898
_cell_angle_alpha 94.14
_cell_angle_beta 93.64
_cell_angle_gamma 102.12
loop_
_symmetry_equiv_pos_as_xyz
'x,y,z'
loop_
_atom_site_label
_atom_site_fract_x
_atom_site_fract_y
_atom_site_fract_z
Li1 0.0000 0.0000 0.0000
Li2 0.0283 0.5108 0.7733
Li3 0.5208 0.0114 0.7797
Li4 0.8463 0.6267 0.1773
Fe1 0.2349 0.7197 0.2247
Fe2 0.2838 0.2731 0.5519
Fe3 0.7260 0.2181 0.2240
Fe4 0.7774 0.7687 0.5520
P1 0.0123 0.0045 0.3112
P2 0.4981 0.9865 0.4668
P3 0.5112 0.4965 0.3120
P4 0.9929 0.4919 0.4642
C1 0.2271 0.2221 0.8349
C2 0.2828 0.7729 0.9377
C3 0.7504 0.7288 0.8498
C4 0.7831 0.2820 0.9378
O1 0.0496 0.5741 0.3123
O2 0.0617 0.8693 0.1961
O3 0.1291 0.4348 0.5649
O4 0.1428 0.1386 0.7083
O5 0.1593 0.6533 0.9608
O6 0.1654 0.1435 0.3676
O7 0.1916 0.1854 0.9708
O8 0.3237 0.8194 0.8058
O9 0.3450 0.3409 0.7994
O10 0.3452 0.8459 0.4104
O11 0.3666 0.8502 0.0671
O12 0.3756 0.5589 0.2159
O13 0.4431 0.1171 0.5787
O14 0.4506 0.4330 0.4686
O15 0.5631 0.3621 0.2029
O16 0.5763 0.0528 0.3189
O17 0.6197 0.9177 0.5780
O18 0.6562 0.6458 0.7305
O19 0.6705 0.1522 0.9576
O20 0.6701 0.6393 0.3551
O21 0.7331 0.6882 0.9891
O22 0.8339 0.3255 0.8078
O23 0.8461 0.3452 0.4100
O24 0.8517 0.3702 0.0695
O25 0.8624 0.8535 0.8163
O26 0.8918 0.0739 0.1989
O27 0.9318 0.9300 0.4550
O28 0.9354 0.6174 0.5819
```

The 6 most intense peaks (10 to 90 degrees two-theta), sorted by position:
- d 8.440, 2θ 10.48, I = 100
- d 5.113, 2θ 17.34, I = 45
- d 4.632, 2θ 19.16, I = 56
- d 4.207, 2θ 21.12, I = 82
- d 3.455, 2θ 25.78, I = 39
- d 3.213, 2θ 27.77, I = 98

=====

Entry 3:
Starting from DFT lattice parameters and positions (GGA+U), the X-ray diffraction stick pattern of LiFePCO7 was computed for Cu Kα X-rays.
Kinematic intensities with the Lorentz-polarization factor, no thermal factor.

```
data_LiFePCO7
_symmetry_space_group_name_H-M 'P -1'
_symmetry_Int_Tables_number 2
_cell_length_a 5.1461
_cell_length_b 6.3204
_cell_length_c 8.8742
_cell_angle_alpha 86.99
_cell_angle_beta 87.39
_cell_angle_gamma 87.02
loop_
_symmetry_equiv_pos_as_xyz
'x,y,z'
'-x,-y,-z'
loop_
_atom_site_label
_atom_site_fract_x
_atom_site_fract_y
_atom_site_fract_z
Li1 0.1986 0.4684 0.2266
Fe1 0.2913 0.7549 0.6465
P1 0.1901 0.2585 0.5730
C1 0.2296 0.7285 0.9357
O1 0.0287 0.7643 0.8538
O2 0.0927 0.7826 0.4684
O3 0.1765 0.4484 0.6772
O4 0.2154 0.7157 0.0779
O5 0.3145 0.0617 0.6551
O6 0.3510 0.3185 0.4240
O7 0.4502 0.7077 0.8600
```

The 6 most intense peaks (10 to 90 degrees two-theta), sorted by position:
- d 5.262, 2θ 16.85, I = 57
- d 4.527, 2θ 19.61, I = 68
- d 4.361, 2θ 20.36, I = 67
- d 3.804, 2θ 23.38, I = 34
- d 3.284, 2θ 27.15, I = 59
- d 3.152, 2θ 28.31, I = 100

=====

Entry 4:
Starting from DFT lattice parameters and positions (GGA+U), the X-ray diffraction stick pattern of LiFePCO7 was computed for Cu Kα X-rays.
Kinematic intensities with the Lorentz-polarization factor, no thermal factor.

```
data_LiFePCO7
_symmetry_space_group_name_H-M 'P 1'
_symmetry_Int_Tables_number 1
_cell_length_a 5.1743
_cell_length_b 6.4375
_cell_length_c 16.9672
_cell_angle_alpha 89.69
_cell_angle_beta 84.69
_cell_angle_gamma 89.88
loop_
_symmetry_equiv_pos_as_xyz
'x,y,z'
loop_
_atom_site_label
_atom_site_fract_x
_atom_site_fract_y
_atom_site_fract_z
Li1 0.0000 0.0000 0.0000
Li2 0.0025 0.9934 0.5014
Li3 0.0227 0.6949 0.1986
Li4 0.5484 0.4932 0.6151
Fe1 0.5783 0.9927 0.7243
Fe2 0.5799 0.0001 0.2265
Fe3 0.9743 0.4967 0.3887
Fe4 0.9814 0.4904 0.8910
P1 0.0476 0.9908 0.8451
P2 0.0530 0.9906 0.3457
P3 0.5108 0.4923 0.7698
P4 0.5118 0.4985 0.2688
C1 0.0616 0.5025 0.0353
C2 0.0709 0.4906 0.5356
C3 0.4792 0.9942 0.5788
C4 0.4805 0.9828 0.0817
O1 0.1049 0.5249 0.1062
O2 0.1635 0.4923 0.6017
O3 0.2116 0.5255 0.2894
O4 0.2172 0.4925 0.7971
O5 0.2311 0.4894 0.4715
O6 0.2445 0.4893 0.9777
O7 0.3179 0.9936 0.6429
O8 0.3187 0.9717 0.1461
O9 0.3408 0.9911 0.8170
O10 0.3476 0.9837 0.3208
O11 0.3868 0.9846 0.0159
O12 0.3869 0.9947 0.5127
O13 0.5724 0.3009 0.2201
O14 0.5759 0.3055 0.7133
O15 0.5763 0.6801 0.7131
O16 0.6174 0.6830 0.2162
O17 0.6448 0.4943 0.3468
O18 0.6613 0.4914 0.8432
O19 0.7224 0.9942 0.5908
O20 0.7230 0.9934 0.0931
O21 0.8272 0.4901 0.5244
O22 0.8317 0.4912 0.0107
O23 0.8980 0.9918 0.7709
O24 0.9167 0.9758 0.2683
O25 0.9758 0.8086 0.4037
O26 0.9808 0.1850 0.3961
O27 0.9841 0.1784 0.9005
O28 0.9840 0.8033 0.9010
```

The 6 most intense peaks (10 to 90 degrees two-theta), sorted by position:
- d 8.447, 2θ 10.47, I = 99
- d 4.591, 2θ 19.33, I = 57
- d 4.228, 2θ 21.01, I = 80
- d 3.534, 2θ 25.20, I = 27
- d 3.425, 2θ 26.01, I = 39
- d 3.219, 2θ 27.72, I = 100

=====

Entry 5:
Starting from DFT lattice parameters and positions (GGA+U), the X-ray diffraction stick pattern of LiFePCO7 was computed for Cu Kα X-rays.
Kinematic intensities with the Lorentz-polarization factor, no thermal factor.

```
data_LiFePCO7
_symmetry_space_group_name_H-M 'P 1'
_symmetry_Int_Tables_number 1
_cell_length_a 8.2396
_cell_length_b 8.2534
_cell_length_c 9.5094
_cell_angle_alpha 107.03
_cell_angle_beta 107.30
_cell_angle_gamma 102.41
loop_
_symmetry_equiv_pos_as_xyz
'x,y,z'
loop_
_atom_site_label
_atom_site_fract_x
_atom_site_fract_y
_atom_site_fract_z
Li1 0.0000 0.0000 0.0000
Li2 0.1353 0.6311 0.2195
Li3 0.4979 0.4996 0.9986
Li4 0.8549 0.5525 0.3962
Fe1 0.0129 0.0145 0.4449
Fe2 0.1290 0.6263 0.7804
Fe3 0.5089 0.5095 0.4491
Fe4 0.6243 0.1227 0.7709
P1 0.2648 0.7669 0.5327
P2 0.3708 0.3679 0.6895
P3 0.7727 0.2701 0.5353
P4 0.8733 0.8667 0.6868
C1 0.3205 0.8168 0.0729
C2 0.3242 0.3143 0.1550
C3 0.8168 0.3231 0.0659
C4 0.8170 0.8141 0.1548
O1 0.1317 0.6474 0.5793
O2 0.1505 0.8365 0.4165
O3 0.1836 0.6787 0.0388
O4 0.2114 0.2043 0.0203
O5 0.2232 0.2188 0.5371
O6 0.2989 0.4860 0.7989
O7 0.3049 0.2943 0.2811
O8 0.3374 0.6476 0.4234
O9 0.3479 0.8442 0.9537
O10 0.4136 0.9144 0.6834
O11 0.4239 0.9209 0.2138
O12 0.4578 0.4518 0.1832
O13 0.4871 0.2970 0.8014
O14 0.4915 0.4887 0.6366
O15 0.6426 0.1520 0.5826
O16 0.6751 0.3614 0.4310
O17 0.6831 0.1801 0.0237
O18 0.7048 0.7025 0.0204
O19 0.7312 0.7101 0.5319
O20 0.7925 0.9784 0.7901
O21 0.8023 0.7913 0.2821
O22 0.8489 0.1548 0.4302
O23 0.8490 0.3382 0.9433
O24 0.9089 0.4391 0.2052
O25 0.9233 0.4158 0.6904
O26 0.9500 0.9509 0.1823
O27 0.9884 0.7978 0.8027
O28 0.9951 0.9842 0.6334
```

The 6 most intense peaks (10 to 90 degrees two-theta), sorted by position:
- d 8.389, 2θ 10.55, I = 96
- d 5.102, 2θ 17.38, I = 42
- d 4.558, 2θ 19.48, I = 57
- d 4.237, 2θ 20.97, I = 77
- d 3.391, 2θ 26.29, I = 38
- d 3.214, 2θ 27.76, I = 100

=====

Entry 6:
Starting from DFT lattice parameters and positions (GGA+U), the X-ray diffraction stick pattern of Li6VFeP2C2O14 was computed for Cu Kα X-rays.
Kinematic intensities with the Lorentz-polarization factor, no thermal factor.

```
data_Li6VFeP2C2O14
_symmetry_space_group_name_H-M 'C 1 m 1'
_symmetry_Int_Tables_number 8
_cell_length_a 17.0781
_cell_length_b 13.0828
_cell_length_c 5.0171
_cell_angle_alpha 90.00
_cell_angle_beta 96.59
_cell_angle_gamma 90.00
loop_
_symmetry_equiv_pos_as_xyz
'x,y,z'
'x,-y,z'
'x+1/2,y+1/2,z'
'x+1/2,-y+1/2,z'
loop_
_atom_site_label
_atom_site_fract_x
_atom_site_fract_y
_atom_site_fract_z
Li1 0.0000 0.0000 0.0000
Li2 0.9999 0.5000 0.0007
Li3 0.1043 0.2501 0.4082
Li4 0.1903 0.1374 0.9376
Li5 0.1904 0.3628 0.9370
Li6 0.4135 0.3837 0.4727
Li7 0.4137 0.1164 0.4745
V1 0.2148 0.0000 0.4138
V2 0.2146 0.5000 0.4129
Fe1 0.3867 0.2499 0.9938
P1 0.2569 0.2501 0.4724
P2 0.3463 0.0000 0.9360
P3 0.3463 0.5000 0.9347
C1 0.0334 0.2501 0.8760
C2 0.0697 0.0000 0.5339
C3 0.0697 0.5000 0.5344
O1 0.0200 0.2499 0.1245
O2 0.0844 0.5000 0.2861
O3 0.0845 0.0000 0.2858
O4 0.1045 0.2501 0.8080
O5 0.1305 0.0000 0.7181
O6 0.1306 0.5000 0.7181
O7 0.2047 0.1583 0.3642
O8 0.2046 0.3417 0.3636
O9 0.2646 0.0000 0.0363
O10 0.2646 0.5000 0.0356
O11 0.2673 0.2502 0.7867
O12 0.3360 0.0000 0.6229
O13 0.3359 0.5000 0.6216
O14 0.3391 0.2501 0.3744
O15 0.3983 0.0930 0.0432
O16 0.3983 0.4070 0.0415
O17 0.4724 0.2496 0.6923
O18 0.4985 0.0000 0.5993
O19 0.4984 0.5000 0.5982
```

The 6 most intense peaks (10 to 90 degrees two-theta), sorted by position:
- d 8.483, 2θ 10.43, I = 73
- d 4.530, 2θ 19.60, I = 32
- d 4.097, 2θ 21.69, I = 55
- d 3.430, 2θ 25.98, I = 32
- d 3.271, 2θ 27.27, I = 100
- d 2.469, 2θ 36.39, I = 32